Diffraction record for Pr3AlGaPd4. The X-ray powder pattern is computed, not measured: it uses a cell relaxed with GGA-PBE and Cu Ka.
Kinematic intensities with the Lorentz-polarization factor, no thermal factor.

Principal peaks in the range 2θ = 5–70°, sorted by position:
- 24.83 deg, d = 3.586 Å, I 66
- 30.74 deg, d = 2.909 Å, I 24
- 33.01 deg, d = 2.714 Å, I 100
- 35.77 deg, d = 2.511 Å, I 24
- 36.93 deg, d = 2.434 Å, I 83
- 37.63 deg, d = 2.390 Å, I 43
- 39.20 deg, d = 2.298 Å, I 72
- 41.18 deg, d = 2.192 Å, I 82
- 57.01 deg, d = 1.615 Å, I 26
- 65.93 deg, d = 1.417 Å, I 27

Crystal structure
```
Pr3AlGaPd4
1.0
5.242 -2.191 0.000
5.242 2.191 0.000
-1.299 0.000 8.727
Pr Al Ga Pd
3 1 1 4
Direct
0.000 0.000 0.000 Pr
0.245 0.245 0.766 Pr
0.621 0.621 0.381 Pr
0.942 0.942 0.593 Al
0.302 0.302 0.164 Ga
0.344 0.344 0.470 Pd
0.534 0.534 0.740 Pd
0.706 0.706 0.018 Pd
0.900 0.900 0.294 Pd
```